Record 1
Simulated powder diffraction line list
Compound: LiHf8N8O4
Radiation: a wavelength of 1.5418 Å
Structure: DFT lattice parameters and positions (GGA-PBE)
No peak broadening, texture or thermal motion is included.

Structure:
```
data_LiHf8N8O4
_cell_length_a 5.4023
_cell_length_b 5.4479
_cell_length_c 10.5347
_cell_angle_alpha 76.00
_cell_angle_beta 75.87
_cell_angle_gamma 60.39
_space_group_name_H-M_alt 'P 1'
_space_group_IT_number 1
_space_group_name_Hall 'P 1'
loop_
_atom_site_label
_atom_site_fract_x
_atom_site_fract_y
_atom_site_fract_z
Li1 0.0000 0.0000 0.0000
Hf1 0.0847 0.0397 0.7591
Hf2 0.1685 0.1693 0.4615
Hf3 0.3070 0.3270 0.0364
Hf4 0.4250 0.4027 0.7223
Hf5 0.5684 0.5468 0.2763
Hf6 0.6538 0.7051 0.9611
Hf7 0.7965 0.8162 0.5372
Hf8 0.9019 0.8941 0.2403
N1 0.0731 0.6767 0.8794
N2 0.3189 0.6327 0.1210
N3 0.3504 0.0794 0.8752
N4 0.4227 0.8039 0.6250
N5 0.5746 0.1646 0.3809
N6 0.6421 0.9199 0.1145
N7 0.8141 0.1256 0.6193
N8 0.8730 0.5581 0.3738
O1 0.1268 0.4195 0.6196
O2 0.1915 0.8536 0.3745
O3 0.6886 0.3559 0.8787
O4 0.9355 0.2920 0.1278
```

Largest 8 diffraction maxima, in order of rising 2θ, 2θ from 15° to 90°:
2theta, d/Å, Rel. int., index
30.1, 2.971, 48, 1 1 -2
30.4, 2.943, 92, 1 0 3
32.9, 2.726, 100, 1 -1 0
33.2, 2.701, 50, 2 1 1
35.5, 2.527, 19, 0 0 4
44.9, 2.018, 18, 0 2 -2
45.8, 1.980, 16, 2 2 4
49.1, 1.857, 24, 2 1 -3

Record 2
Simulated powder diffraction line list
Compound: Gd2CF2
Radiation: a wavelength of 1.5418 Å
Structure: DFT lattice parameters and positions (GGA-PBE)
No peak broadening, texture or thermal motion is included.

Structure:
```
data_Gd2CF2
_cell_length_a 3.7247
_cell_length_b 3.7247
_cell_length_c 6.5811
_cell_angle_alpha 90.00
_cell_angle_beta 90.00
_cell_angle_gamma 120.00
_space_group_name_H-M_alt 'P -3 m 1'
_space_group_IT_number 164
_space_group_name_Hall '-P 3 2"'
loop_
_atom_site_label
_atom_site_fract_x
_atom_site_fract_y
_atom_site_fract_z
Gd1 0.3333 0.6667 0.2107
C1 0.0000 0.0000 0.0000
F1 0.3333 0.6667 0.6180
```

Largest 8 diffraction maxima, in order of rising 2θ, 2θ from 15° to 90°:
2theta, d/Å, Rel. int., index
27.1, 3.291, 28, 0 0 2
27.7, 3.226, 32, 1 0 0
30.9, 2.896, 100, 1 0 1
39.1, 2.303, 44, 0 1 2
48.9, 1.862, 31, 1 1 0
50.3, 1.814, 28, 1 0 3
56.8, 1.621, 22, 1 1 2
59.0, 1.566, 17, 0 2 1